Diffraction record for NaTi3O9. The XRD peak list is calculated, not measured: it uses the PBE geometry in the Materials Project and Cu Ka.
Neutral-atom scattering factors, no anomalous dispersion.

Structural model:
a = 16.218 Å, b = 3.758 Å, c = 12.514 Å
α = 90.00°, β = 122.23°, γ = 90.00°
Space group C2/m (No. 12)
One atom of each set of equivalent atoms:
Na: 0.183 0.000 0.318 (multiplicity 4)
Ti: 0.060 0.500 0.815 (multiplicity 4)
Ti: 0.089 0.000 0.635 (multiplicity 4)
Ti: 0.240 0.500 0.094 (multiplicity 4)
O: 0.031 0.000 0.056 (multiplicity 4)
O: 0.067 0.000 0.471 (multiplicity 4)
O: 0.070 0.500 0.255 (multiplicity 4)
O: 0.074 0.500 0.658 (multiplicity 4)
O: 0.094 0.000 0.809 (multiplicity 4)
O: 0.109 0.500 0.989 (multiplicity 4)
O: 0.144 0.500 0.452 (multiplicity 4)
O: 0.227 0.000 0.738 (multiplicity 4)
O: 0.236 0.500 0.920 (multiplicity 4)

Principal peaks in the range 10° ≤ 2θ ≤ 80°, in order of falling intensity:
hkl, Position (°2θ), d/Å, I (rel.)
2 0 -1, 11.01, 8.036, 100
3 1 -2, 29.66, 3.012, 65
4 0 1, 31.42, 2.848, 27
2 0 -5, 37.17, 2.419, 23
0 2 0, 48.45, 1.879, 22
1 1 -1, 24.81, 3.589, 19